# Na2Li4Ni2C4SO16
Simulated powder XRD pattern, copper Kα. Input: a cell relaxed with GGA+U.

Top 6 peaks for 10° ≤ 2θ ≤ 90°, by angle:
two_theta  d (Å)  intensity
11.28  7.845  74
18.63  4.762  32
21.46  4.141  100
22.17  4.009  70
33.72  2.658  40
39.91  2.259  30

Structure:
```
Na2Li4Ni2C4SO16
1.0
0.0000 6.8812 6.9200
6.5958 0.0000 6.9200
6.5958 6.8812 0.0000
Na Li Ni C S O
4 8 4 8 2 32
direct
0.0992 0.0992 0.6508 Na
0.3492 0.3492 0.9008 Na
0.6508 0.6508 0.0992 Na
0.9008 0.9008 0.3492 Na
0.0258 0.4885 0.8141 Li
0.1715 0.8141 0.4885 Li
0.1859 0.8285 0.9742 Li
0.4885 0.0258 0.1715 Li
0.5115 0.9742 0.8285 Li
0.8141 0.1715 0.0258 Li
0.8285 0.1859 0.5115 Li
0.9742 0.5115 0.1859 Li
0.0000 0.5000 0.5000 Ni
0.5000 0.0000 0.5000 Ni
0.5000 0.5000 0.0000 Ni
0.5000 0.5000 0.5000 Ni
0.2739 0.6592 0.2875 C
0.2795 0.2875 0.6592 C
0.2875 0.2795 0.2739 C
0.3408 0.7261 0.7205 C
0.6592 0.2739 0.2795 C
0.7125 0.7205 0.7261 C
0.7205 0.7125 0.3408 C
0.7261 0.3408 0.7125 C
0.1250 0.1250 0.1250 S
0.8750 0.8750 0.8750 S
0.0591 0.0643 0.3159 O
0.0607 0.3159 0.0643 O
0.0643 0.0591 0.0607 O
0.1270 0.6719 0.4109 O
0.1373 0.3106 0.6584 O
0.1437 0.4042 0.2950 O
0.2902 0.4109 0.6719 O
0.2950 0.6571 0.1437 O
0.3106 0.1373 0.3937 O
0.3159 0.0607 0.0591 O
0.3281 0.8730 0.7098 O
0.3416 0.6063 0.8627 O
0.3429 0.7050 0.5958 O
0.3937 0.6584 0.3106 O
0.4042 0.1437 0.6571 O
0.4109 0.2902 0.1270 O
0.5891 0.7098 0.8730 O
0.5958 0.8563 0.3429 O
0.6063 0.3416 0.6894 O
0.6571 0.2950 0.4042 O
0.6584 0.3937 0.1373 O
0.6719 0.1270 0.2902 O
0.6841 0.9393 0.9409 O
0.6894 0.8627 0.6063 O
0.7050 0.3429 0.8563 O
0.7098 0.5891 0.3281 O
0.8563 0.5958 0.7050 O
0.8627 0.6894 0.3416 O
0.8730 0.3281 0.5891 O
0.9357 0.9409 0.9393 O
0.9393 0.6841 0.9357 O
0.9409 0.9357 0.6841 O
```

# Li2NiC2O6
Simulated powder XRD pattern, copper Kα. Input: a cell relaxed with GGA+U.

Top 6 peaks for 10° ≤ 2θ ≤ 90°, by angle:
two_theta  d (Å)  intensity
19.10  4.647  100
19.82  4.480  21
24.66  3.610  28
33.32  2.689  32
34.82  2.576  30
43.29  2.090  15

Structure:
```
Li2NiC2O6
1.0
5.4345 0.0000 0.0000
2.7163 5.3757 0.0000
0.0295 0.0100 16.2121
Li Ni C O
8 4 8 24
direct
0.0000 0.0000 0.0000 Li
0.0002 0.4999 0.1071 Li
0.4027 0.1969 0.8568 Li
0.4037 0.6960 0.2500 Li
0.4965 0.4993 0.6068 Li
0.4972 0.9992 0.5000 Li
0.8997 0.6962 0.7498 Li
0.9023 0.1956 0.3572 Li
0.1003 0.0981 0.6787 Ni
0.0996 0.5981 0.4281 Ni
0.5997 0.0980 0.1787 Ni
0.6009 0.5978 0.9287 Ni
0.3699 0.6630 0.7814 C
0.3715 0.1634 0.3254 C
0.4371 0.0330 0.0311 C
0.4368 0.5329 0.0757 C
0.8719 0.6637 0.2816 C
0.8726 0.1635 0.8256 C
0.9333 0.0332 0.5312 C
0.9334 0.5332 0.5757 C
0.0889 0.6788 0.3083 O
0.0898 0.1779 0.7984 O
0.1646 0.0184 0.5587 O
0.1649 0.5179 0.5479 O
0.2254 0.1084 0.0787 O
0.2274 0.6079 0.0273 O
0.2337 0.5883 0.8293 O
0.2368 0.0891 0.2768 O
0.2879 0.2261 0.4017 O
0.2887 0.7265 0.7050 O
0.4166 0.4700 0.1520 O
0.4208 0.9693 0.9547 O
0.5865 0.6780 0.8088 O
0.5886 0.1787 0.2984 O
0.6684 0.0177 0.0590 O
0.6690 0.5177 0.0486 O
0.7219 0.1083 0.5789 O
0.7222 0.6084 0.5282 O
0.7374 0.0897 0.7771 O
0.7375 0.5896 0.3306 O
0.7887 0.7260 0.2052 O
0.7905 0.2262 0.9021 O
0.9169 0.4695 0.6523 O
0.9168 0.9694 0.4547 O
```

# Li2NiC2O6
Simulated powder XRD pattern, copper Kα. Input: a cell relaxed with GGA+U.

Top 6 peaks for 10° ≤ 2θ ≤ 90°, by angle:
two_theta  d (Å)  intensity
18.74  4.734  81
18.87  4.703  100
21.92  4.054  71
32.41  2.763  43
36.56  2.458  21
39.65  2.273  19

Structure:
```
Li2NiC2O6
1.0
5.1827 0.0000 0.0000
-2.5488 5.9126 0.0000
-0.0079 -0.0081 7.7586
Li Ni C O
4 2 4 12
direct
0.0000 0.0000 0.0000 Li
0.1646 0.9380 0.4903 Li
0.4832 0.4648 0.6399 Li
0.6705 0.4496 0.1400 Li
0.3241 0.7025 0.0623 Ni
0.8257 0.2056 0.5637 Ni
0.0344 0.5669 0.8018 C
0.1137 0.3385 0.3011 C
0.5360 0.0687 0.8257 C
0.6137 0.8400 0.3250 C
0.2198 0.2981 0.4441 O
0.2563 0.3817 0.1592 O
0.2926 0.5836 0.8075 O
0.3557 0.8222 0.3183 O
0.3904 0.0197 0.9657 O
0.4313 0.1112 0.6824 O
0.7188 0.7978 0.1816 O
0.7598 0.8895 0.4650 O
0.7938 0.0860 0.8192 O
0.8574 0.3245 0.3079 O
0.8902 0.5216 0.6607 O
0.9298 0.6055 0.9455 O
```

# LiNi2C2O8
Simulated powder XRD pattern, copper Kα. Input: a cell relaxed with GGA+U.

Top 6 peaks for 10° ≤ 2θ ≤ 90°, by angle:
two_theta  d (Å)  intensity
20.79  4.272  71
21.35  4.162  100
33.46  2.678  55
35.63  2.520  53
36.76  2.445  44
52.81  1.733  37

Structure:
```
LiNi2C2O8
1.0
6.4036 0.0000 0.0000
0.0000 8.5446 0.0000
-6.2467 0.0000 9.5308
Li Ni C O
4 8 8 32
direct
0.0278 0.0743 0.1677 Li
0.0278 0.4257 0.6677 Li
0.9722 0.5743 0.3323 Li
0.9722 0.9257 0.8323 Li
0.0121 0.7316 0.0916 Ni
0.0121 0.7684 0.5916 Ni
0.4850 0.2295 0.4074 Ni
0.4850 0.2705 0.9074 Ni
0.5150 0.7295 0.0926 Ni
0.5150 0.7705 0.5926 Ni
0.9879 0.2316 0.4084 Ni
0.9879 0.2684 0.9084 Ni
0.0175 0.1159 0.6631 C
0.0175 0.3841 0.1631 C
0.4722 0.6249 0.8340 C
0.4722 0.8751 0.3340 C
0.5278 0.1249 0.6660 C
0.5278 0.3751 0.1660 C
0.9825 0.6159 0.8369 C
0.9825 0.8841 0.3369 C
0.0837 0.5254 0.1917 O
0.0837 0.9746 0.6917 O
0.0881 0.0558 0.0107 O
0.0881 0.4442 0.5107 O
0.1073 0.2182 0.7670 O
0.1073 0.2818 0.2670 O
0.1335 0.6700 0.9635 O
0.1335 0.8300 0.4635 O
0.3631 0.1764 0.5399 O
0.3631 0.3236 0.0399 O
0.3772 0.0114 0.3150 O
0.3772 0.4886 0.8150 O
0.3913 0.7186 0.7263 O
0.3913 0.7814 0.2263 O
0.4157 0.5507 0.4915 O
0.4157 0.9493 0.9915 O
0.5843 0.0507 0.0085 O
0.5843 0.4493 0.5085 O
0.6087 0.2186 0.7737 O
0.6087 0.2814 0.2737 O
0.6228 0.5114 0.1850 O
0.6228 0.9886 0.6850 O
0.6369 0.6764 0.9601 O
0.6369 0.8236 0.4601 O
0.8665 0.1700 0.5365 O
0.8665 0.3300 0.0365 O
0.8927 0.7182 0.7330 O
0.8927 0.7818 0.2330 O
0.9119 0.5558 0.4893 O
0.9119 0.9442 0.9893 O
0.9163 0.0254 0.3083 O
0.9163 0.4746 0.8083 O
```

# Li2NiC2O6
Simulated powder XRD pattern, copper Kα. Input: a cell relaxed with GGA+U.

Top 6 peaks for 10° ≤ 2θ ≤ 90°, by angle:
two_theta  d (Å)  intensity
14.00  6.327  100
14.74  6.010  72
15.58  5.688  19
19.53  4.546  30
21.65  4.105  15
28.21  3.164  28

Structure:
```
Li2NiC2O6
1.0
7.4728 0.0000 0.0000
0.0000 9.5542 0.0000
-4.8583 0.0000 7.7313
Li Ni C O
8 4 8 24
direct
0.0744 0.2072 0.2042 Li
0.0744 0.2928 0.7042 Li
0.3811 0.6063 0.8544 Li
0.3811 0.8937 0.3544 Li
0.6189 0.1063 0.6456 Li
0.6189 0.3937 0.1456 Li
0.9256 0.7072 0.2958 Li
0.9256 0.7928 0.7958 Li
0.4956 0.1323 0.9395 Ni
0.4956 0.3677 0.4395 Ni
0.5044 0.6323 0.5605 Ni
0.5044 0.8677 0.0605 Ni
0.0806 0.0116 0.8377 C
0.0806 0.4884 0.3377 C
0.4642 0.6163 0.2245 C
0.4642 0.8837 0.7245 C
0.5359 0.1163 0.2755 C
0.5359 0.3837 0.7755 C
0.9194 0.5116 0.6623 C
0.9194 0.9884 0.1623 C
0.1206 0.5009 0.7489 O
0.1206 0.9991 0.2489 O
0.1745 0.1262 0.8371 O
0.1745 0.3738 0.3371 O
0.1881 0.5984 0.4254 O
0.1881 0.9016 0.9254 O
0.4592 0.0179 0.7377 O
0.4592 0.4821 0.2377 O
0.4636 0.7011 0.3333 O
0.4636 0.7989 0.8333 O
0.4732 0.6654 0.0950 O
0.4732 0.8346 0.5950 O
0.5268 0.1654 0.4050 O
0.5268 0.3346 0.9050 O
0.5364 0.2011 0.1667 O
0.5364 0.2989 0.6667 O
0.5408 0.5179 0.7623 O
0.5408 0.9821 0.2623 O
0.8119 0.0984 0.0746 O
0.8119 0.4016 0.5746 O
0.8255 0.6262 0.6629 O
0.8255 0.8738 0.1629 O
0.8794 0.0009 0.7511 O
0.8794 0.4991 0.2511 O
```

# Li2NiC2O6
Simulated powder XRD pattern, copper Kα. Input: a cell relaxed with GGA+U.

Top 6 peaks for 10° ≤ 2θ ≤ 90°, by angle:
two_theta  d (Å)  intensity
18.68  4.750  24
19.07  4.653  70
19.52  4.548  32
19.73  4.500  100
23.58  3.774  22
31.64  2.828  40

Structure:
```
Li2NiC2O6
1.0
5.3174 0.0000 0.0000
2.5500 5.6601 0.0000
1.9344 0.3010 8.0447
Li Ni C O
4 2 4 12
direct
0.0000 0.0000 0.0000 Li
0.1562 0.5346 0.5314 Li
0.3436 0.9173 0.3125 Li
0.5682 0.5041 0.8207 Li
0.0304 0.5140 0.1688 Ni
0.6583 0.0350 0.6659 Ni
0.4206 0.1262 0.9630 C
0.6570 0.4610 0.4532 C
0.8087 0.9270 0.3721 C
0.9310 0.6180 0.8852 C
0.1507 0.6328 0.9213 O
0.2885 0.1663 0.1162 O
0.3119 0.0723 0.8573 O
0.4895 0.5487 0.3517 O
0.5531 0.9772 0.4531 O
0.5600 0.3927 0.6039 O
0.6652 0.1379 0.9057 O
0.7719 0.5488 0.0037 O
0.8689 0.6687 0.7384 O
0.8890 0.8636 0.2185 O
0.9186 0.4399 0.4122 O
0.9836 0.9395 0.4528 O
```

# Li12VNi3P4C4O28
Simulated powder XRD pattern, copper Kα. Input: a cell relaxed with GGA+U.

Top 6 peaks for 10° ≤ 2θ ≤ 90°, by angle:
two_theta  d (Å)  intensity
10.62  8.330  85
17.32  5.119  29
19.91  4.460  38
21.58  4.119  53
26.62  3.349  34
27.49  3.244  100

Structure:
```
Li12VNi3P4C4O28
1.0
8.3641 0.0000 0.0000
0.0000 6.4883 0.0000
-0.9023 0.0000 9.9746
Li V Ni P C O
12 1 3 4 4 28
direct
0.0000 0.0000 0.0000 Li
0.0004 0.0000 0.4993 Li
0.1984 0.5000 0.7310 Li
0.1992 0.5000 0.2315 Li
0.3775 0.2720 0.4945 Li
0.3775 0.7280 0.4945 Li
0.3787 0.2744 0.9861 Li
0.3787 0.7256 0.9861 Li
0.8205 0.2278 0.7394 Li
0.8198 0.2293 0.2388 Li
0.8198 0.7707 0.2388 Li
0.8205 0.7722 0.7394 Li
0.4276 0.0000 0.2192 V
0.4329 0.0000 0.7190 Ni
0.7665 0.5000 0.0114 Ni
0.7668 0.5000 0.5115 Ni
0.5141 0.5000 0.2533 P
0.5143 0.5000 0.7527 P
0.6855 0.0000 0.4785 P
0.6861 0.0000 0.9755 P
0.0594 0.5000 0.4660 C
0.0594 0.5000 0.9658 C
0.1331 0.0000 0.2667 C
0.1400 0.0000 0.7652 C
0.0242 0.5000 0.5895 O
0.0247 0.5000 0.0896 O
0.1711 0.0000 0.1436 O
0.1744 0.0000 0.6418 O
0.2063 0.5000 0.4345 O
0.2061 0.5000 0.9337 O
0.2490 0.0000 0.3625 O
0.2597 0.0000 0.8585 O
0.4071 0.3168 0.2018 O
0.4071 0.6832 0.2018 O
0.4090 0.3132 0.7026 O
0.4090 0.6868 0.7026 O
0.5175 0.0000 0.5317 O
0.5188 0.0000 0.0285 O
0.5381 0.5000 0.9097 O
0.5395 0.5000 0.4099 O
0.6618 0.0000 0.8188 O
0.6650 0.0000 0.3222 O
0.6806 0.5000 0.1977 O
0.6813 0.5000 0.6983 O
0.7897 0.1872 0.5301 O
0.7897 0.8128 0.5301 O
0.7907 0.1870 0.0270 O
0.7907 0.8130 0.0270 O
0.9398 0.5000 0.3725 O
0.9398 0.5000 0.8727 O
0.9849 0.0000 0.2951 O
0.9929 0.0000 0.7976 O
```

Which formula does entry 4 have? LiNi2C2O8